The following is a theoretical X-ray diffraction stick pattern of Li5Zn2Au. It was derived from the PBE geometry in Alexandria, using Cu Kα, 1.54184 Å.
No peak broadening, texture or thermal motion is included.

Structural model:
```
data_Li5Zn2Au
_cell_length_a 4.044
_cell_length_b 4.044
_cell_length_c 15.065
_cell_angle_alpha 90.00
_cell_angle_beta 90.00
_cell_angle_gamma 90.00
_symmetry_space_group_name_H-M 'I 4/m m m'
_symmetry_Int_Tables_number 139
_symmetry_space_group_name_Hall '-I 4 2'
loop_
_atom_site_label
_atom_site_type_symbol
_atom_site_fract_x
_atom_site_fract_y
_atom_site_fract_z
_atom_site_occupancy
Li1 Li 0.000 0.000 0.000 1
Li2 Li 0.000 0.500 0.126 1
Zn1 Zn 0.000 0.000 0.249 1
Au1 Au 0.000 0.000 0.500 1
```

Top 8 peaks for 10° ≤ 2θ ≤ 90°, low angle first:
2θ = 22.8°, rel. 100, (1 0 1); 2θ = 23.6°, rel. 67, (0 0 4); 2θ = 28.3°, rel. 62, (1 0 3); 2θ = 31.3°, rel. 67, (1 1 0); 2θ = 37.2°, rel. 28, (1 0 5); 2θ = 39.6°, rel. 90, (1 1 4); 2θ = 44.8°, rel. 31, (2 0 0); 2θ = 51.3°, rel. 33, (2 0 4)